Computed XRD peak list
Compound: MgZn2In2Pt5
Radiation: λ = 1.5418 Å (Cu Kα)
Structure: a crystal structure in Alexandria, relaxed with PBE
Lines closer than 0.1° are merged.

Most intense lines, 10 to 90 degrees two-theta, in order of rising 2θ:
hkl 0 0 1, 3.908 Å, 22.75 deg, I 30; hkl 2 1 1, 2.851 Å, 31.38 deg, I 24; hkl 3 1 1, 2.353 Å, 38.25 deg, I 100; hkl 4 1 0, 2.260 Å, 39.89 deg, I 44; hkl 3 2 1, 2.156 Å, 41.91 deg, I 46; hkl 0 0 2, 1.955 Å, 46.46 deg, I 39; hkl 4 1 2, 1.478 Å, 62.87 deg, I 23; hkl 6 2 1, 1.379 Å, 68.00 deg, I 18

Atomic structure:
Cell lengths 9.3187, 9.3187, 3.9080 Å; angles 90.00, 90.00, 90.00 degrees
Space group P4/mbm (No. 127)
Unique sites:
1 Mg 0.0000 0.0000 0.0000
2 Zn 0.1251 0.3749 0.0000
3 In 0.1722 0.6722 0.0000
4 Pt 0.0000 0.5000 0.5000
5 Pt 0.0861 0.1937 0.5000



Computed XRD peak list
Compound: PuMgIn4
Radiation: λ = 1.5418 Å (Cu Kα)
Structure: a crystal structure in Alexandria, relaxed with PBE
Lines closer than 0.1° are merged.

Most intense lines, 10 to 90 degrees two-theta, in order of rising 2θ:
hkl 1 0 0, 5.267 Å, 16.83 deg, I 23; hkl 1 0 2, 3.397 Å, 26.23 deg, I 21; hkl 2 0 0, 2.634 Å, 34.04 deg, I 53; hkl 1 1 1, 2.616 Å, 34.28 deg, I 95; hkl 0 1 2, 2.599 Å, 34.51 deg, I 48; hkl 1 0 3, 2.583 Å, 34.74 deg, I 100; hkl 2 1 -2, 1.850 Å, 49.26 deg, I 35; hkl 1 2 3, 1.361 Å, 68.98 deg, I 27

Atomic structure:
Cell lengths 5.2674, 3.2040, 8.8898 Å; angles 90.00, 90.11, 90.00 degrees
Space group Pm (No. 6)
Unique sites:
1 Pu 0.0000 0.0000 0.0000
2 Mg 0.4992 0.0000 0.5005
3 In 0.0010 0.5000 0.3369
4 In 0.4990 0.5000 0.8274
5 In 0.5006 0.5000 0.1727
6 In 0.9984 0.5000 0.6631